No. 1
Structure and theoretical X-ray powder pattern of AgSe5 (the GGA-PBE geometry in Alexandria; Cu Kα, 1.54184 Å).

Atomic structure:
```
data_AgSe5
_chemical_formula_sum 'Ag4 Se20'
_cell_length_a 6.6426
_cell_length_b 17.6475
_cell_length_c 6.5247
_cell_angle_alpha 90.00
_cell_angle_beta 93.76
_cell_angle_gamma 90.00
_symmetry_space_group_name_H-M 'C 1 c 1'
_symmetry_Int_Tables_number 9
_symmetry_space_group_name_Hall 'C -2yc'
loop_
_atom_site_label
_atom_site_type_symbol
_atom_site_fract_x
_atom_site_fract_y
_atom_site_fract_z
Ag1 Ag 0.0000 0.0185 0.0000
Se1 Se 0.2040 0.1816 0.6368
Se2 Se 0.2124 0.4058 0.9096
Se3 Se 0.2511 0.3711 0.5622
Se4 Se 0.2644 0.0545 0.7348
Se5 Se 0.3498 0.3056 0.1287
```

Principal peaks in the range 2θ from 10° to 90°, sorted by position:
Position (°2θ)	d_spacing	intensity	index
10.02	8.824	52	0 2 0
14.27	6.205	100	1 1 0
19.14	4.636	40	1 1 -1
20.18	4.400	38	1 3 0
24.91	3.574	84	1 3 1
28.65	3.115	59	1 5 0
30.21	2.958	65	1 1 -2
33.46	2.678	59	0 6 1
33.83	2.650	43	2 4 0
42.83	2.111	40	2 6 -1

No. 2
Structure and theoretical X-ray powder pattern of AgSe2 (the GGA-PBE geometry in Alexandria; Cu Kα, 1.54184 Å).

Atomic structure:
```
data_AgSe2
_chemical_formula_sum 'Ag2 Se4'
_cell_length_a 5.2775
_cell_length_b 6.6474
_cell_length_c 4.1392
_cell_angle_alpha 90.00
_cell_angle_beta 90.00
_cell_angle_gamma 90.00
_symmetry_space_group_name_H-M 'P n n m'
_symmetry_Int_Tables_number 58
_symmetry_space_group_name_Hall '-P 2 2n'
loop_
_atom_site_label
_atom_site_type_symbol
_atom_site_fract_x
_atom_site_fract_y
_atom_site_fract_z
Ag1 Ag 0.0000 0.0000 0.0000
Se1 Se 0.1773 0.3948 0.0000
```

Principal peaks in the range 2θ from 10° to 90°, sorted by position:
Position (°2θ)	d_spacing	intensity	index
26.82	3.324	36	0 2 0
27.38	3.257	100	1 0 1
30.57	2.925	35	1 1 1
31.82	2.812	39	1 2 0
38.71	2.326	39	1 2 1
42.86	2.110	62	2 1 1
43.75	2.069	37	0 0 2
46.49	1.953	21	0 3 1
49.28	1.849	21	2 2 1
53.91	1.701	24	3 1 0

No. 3
Structure and theoretical X-ray powder pattern of SiAgSe (the GGA-PBE geometry in Alexandria; Cu Kα, 1.54184 Å).

Atomic structure:
```
data_SiAgSe
_chemical_formula_sum 'Si3 Ag3 Se3'
_cell_length_a 6.0586
_cell_length_b 6.0586
_cell_length_c 7.0838
_cell_angle_alpha 90.00
_cell_angle_beta 90.00
_cell_angle_gamma 120.00
_symmetry_space_group_name_H-M 'P 32'
_symmetry_Int_Tables_number 145
_symmetry_space_group_name_Hall 'P 32'
loop_
_atom_site_label
_atom_site_type_symbol
_atom_site_fract_x
_atom_site_fract_y
_atom_site_fract_z
Si1 Si 0.0091 0.4217 0.0000
Ag1 Ag 0.0322 0.7193 0.7308
Se1 Se 0.0405 0.5691 0.3146
```

Principal peaks in the range 2θ from 10° to 90°, sorted by position:
Position (°2θ)	d_spacing	intensity	index
21.07	4.216	66	1 0 1
29.49	3.029	86	1 1 0
30.45	2.936	100	0 1 2
32.14	2.785	29	1 1 1
36.52	2.460	26	0 2 1
38.11	2.361	21	0 0 3
42.90	2.108	28	2 0 2
47.62	1.910	56	3 -2 1
48.91	1.862	26	2 -1 3
52.91	1.730	39	2 1 2

No. 4
Structure and theoretical X-ray powder pattern of SiAg3Se4 (the GGA-PBE geometry in Alexandria; Cu Kα, 1.54184 Å).

Atomic structure:
```
data_SiAg3Se4
_chemical_formula_sum 'Si2 Ag6 Se8'
_cell_length_a 8.1296
_cell_length_b 7.2395
_cell_length_c 6.9913
_cell_angle_alpha 90.00
_cell_angle_beta 90.00
_cell_angle_gamma 90.00
_symmetry_space_group_name_H-M 'P m n 21'
_symmetry_Int_Tables_number 31
_symmetry_space_group_name_Hall 'P 2ac -2'
loop_
_atom_site_label
_atom_site_type_symbol
_atom_site_fract_x
_atom_site_fract_y
_atom_site_fract_z
Si1 Si 0.0000 0.1810 0.0000
Ag1 Ag 0.0000 0.8609 0.4966
Ag2 Ag 0.2426 0.6787 0.9831
Se1 Se 0.0000 0.1863 0.6689
Se2 Se 0.0000 0.8818 0.1175
Se3 Se 0.2340 0.3295 0.1064
```

Principal peaks in the range 2θ from 10° to 90°, sorted by position:
Position (°2θ)	d_spacing	intensity	index
24.59	3.620	44	0 2 0
25.13	3.544	100	2 1 0
25.48	3.496	79	0 0 2
27.75	3.214	37	0 2 1
28.23	3.161	75	2 1 1
43.62	2.075	75	2 3 0
44.58	2.032	39	4 0 0
46.34	1.959	42	0 2 3
46.65	1.947	82	2 1 3
51.19	1.784	36	2 3 2

No. 5
Structure and theoretical X-ray powder pattern of SiAg2SnSe4 (the GGA-PBE geometry in Alexandria; Cu Kα, 1.54184 Å).

Atomic structure:
```
data_SiAg2SnSe4
_chemical_formula_sum 'Si4 Ag8 Sn4 Se16'
_cell_length_a 7.7958
_cell_length_b 8.0404
_cell_length_c 11.2030
_cell_angle_alpha 90.00
_cell_angle_beta 90.00
_cell_angle_gamma 90.00
_symmetry_space_group_name_H-M 'I m m a'
_symmetry_Int_Tables_number 74
_symmetry_space_group_name_Hall '-I 2b 2'
loop_
_atom_site_label
_atom_site_type_symbol
_atom_site_fract_x
_atom_site_fract_y
_atom_site_fract_z
Si1 Si 0.2500 0.2500 0.2500
Ag1 Ag 0.0000 0.0000 0.0000
Ag2 Ag 0.2500 0.2500 0.7500
Sn1 Sn 0.0000 0.0000 0.5000
Se1 Se 0.0000 0.0193 0.2468
Se2 Se 0.2429 0.2500 0.0102
```

Principal peaks in the range 2θ from 10° to 90°, sorted by position:
Position (°2θ)	d_spacing	intensity	index
31.97	2.799	100	2 2 0
45.10	2.010	12	0 4 0
45.84	1.980	47	2 2 4
46.60	1.949	12	4 0 0
56.34	1.633	12	0 4 4
57.62	1.600	12	4 0 4
66.85	1.400	11	4 4 0
76.01	1.252	20	4 4 4
83.78	1.155	7	2 6 4
85.94	1.131	8	6 2 4

No. 6
Structure and theoretical X-ray powder pattern of Sm2AgSe4 (the GGA-PBE geometry in Alexandria; Cu Kα, 1.54184 Å).

Atomic structure:
```
data_Sm2AgSe4
_chemical_formula_sum 'Sm4 Ag2 Se8'
_cell_length_a 7.2193
_cell_length_b 5.8415
_cell_length_c 8.6085
_cell_angle_alpha 90.00
_cell_angle_beta 101.38
_cell_angle_gamma 90.00
_symmetry_space_group_name_H-M 'P 1 21/m 1'
_symmetry_Int_Tables_number 11
_symmetry_space_group_name_Hall '-P 2yb'
loop_
_atom_site_label
_atom_site_type_symbol
_atom_site_fract_x
_atom_site_fract_y
_atom_site_fract_z
Sm1 Sm 0.1928 0.2500 0.3848
Sm2 Sm 0.2440 0.2500 0.9297
Ag1 Ag 0.2689 0.7500 0.6453
Se1 Se 0.0462 0.7500 0.3739
Se2 Se 0.0819 0.7500 0.9002
Se3 Se 0.4486 0.5123 0.2174
```

Principal peaks in the range 2θ from 10° to 90°, sorted by position:
Position (°2θ)	d_spacing	intensity	index
26.05	3.421	46	0 1 2
26.64	3.346	57	1 0 2
29.57	3.021	74	2 0 -2
30.61	2.921	53	0 2 0
33.15	2.702	86	1 2 0
33.39	2.683	100	2 1 -2
39.46	2.284	55	2 1 2
40.04	2.252	51	2 2 0
42.21	2.141	42	1 0 -4
44.70	2.027	41	0 2 3

No. 7
Structure and theoretical X-ray powder pattern of Ag2SnSe2 (the GGA-PBE geometry in Alexandria; Cu Kα, 1.54184 Å).

Atomic structure:
```
data_Ag2SnSe2
_chemical_formula_sum 'Ag6 Sn3 Se6'
_cell_length_a 4.2769
_cell_length_b 4.2769
_cell_length_c 22.1623
_cell_angle_alpha 90.00
_cell_angle_beta 90.00
_cell_angle_gamma 120.00
_symmetry_space_group_name_H-M 'R -3 m'
_symmetry_Int_Tables_number 166
_symmetry_space_group_name_Hall '-R 3 2"'
loop_
_atom_site_label
_atom_site_type_symbol
_atom_site_fract_x
_atom_site_fract_y
_atom_site_fract_z
Ag1 Ag 0.0000 0.0000 0.2021
Sn1 Sn 0.0000 0.0000 0.0000
Se1 Se 0.0000 0.0000 0.4117
```

Principal peaks in the range 2θ from 10° to 90°, sorted by position:
Position (°2θ)	d_spacing	intensity	index
29.00	3.079	6	1 0 4
31.48	2.842	100	0 1 5
42.26	2.138	46	1 1 0
47.83	1.902	27	1 0 10
53.63	1.709	22	2 0 5
65.71	1.421	10	0 2 10
70.55	1.335	19	1 2 5
77.28	1.235	8	3 0 0
78.72	1.216	10	1 1 15
81.29	1.184	11	2 1 10

No. 8
Structure and theoretical X-ray powder pattern of Ag2Sn3Se6 (the GGA-PBE geometry in Alexandria; Cu Kα, 1.54184 Å).

Atomic structure:
```
data_Ag2Sn3Se6
_chemical_formula_sum 'Ag4 Sn6 Se12'
_cell_length_a 6.9355
_cell_length_b 11.9500
_cell_length_c 7.0386
_cell_angle_alpha 90.00
_cell_angle_beta 109.63
_cell_angle_gamma 90.00
_symmetry_space_group_name_H-M 'C 1 2/m 1'
_symmetry_Int_Tables_number 12
_symmetry_space_group_name_Hall '-C 2y'
loop_
_atom_site_label
_atom_site_type_symbol
_atom_site_fract_x
_atom_site_fract_y
_atom_site_fract_z
Ag1 Ag 0.0000 0.1659 0.0000
Sn1 Sn 0.0000 0.0000 0.5000
Sn2 Sn 0.0000 0.3327 0.5000
Se1 Se 0.2441 0.0000 0.2461
Se2 Se 0.2489 0.1693 0.7485
```

Principal peaks in the range 2θ from 10° to 90°, sorted by position:
Position (°2θ)	d_spacing	intensity	index
31.33	2.855	51	2 0 -2
31.60	2.832	100	1 3 1
44.83	2.022	38	1 3 -3
45.04	2.013	19	2 0 2
45.36	1.999	36	3 3 -1
45.54	1.992	18	0 6 0
55.44	1.657	10	0 0 4
56.33	1.633	29	4 0 0
65.98	1.416	12	2 6 2
83.70	1.156	16	6 0 -2

No. 9
Structure and theoretical X-ray powder pattern of Ag2SnSe3 (the GGA-PBE geometry in Alexandria; Cu Kα, 1.54184 Å).

Atomic structure:
```
data_Ag2SnSe3
_chemical_formula_sum 'Ag32 Sn16 Se48'
_cell_length_a 8.6910
_cell_length_b 26.2413
_cell_length_c 12.0502
_cell_angle_alpha 90.00
_cell_angle_beta 90.00
_cell_angle_gamma 90.00
_symmetry_space_group_name_H-M 'F d d 2'
_symmetry_Int_Tables_number 43
_symmetry_space_group_name_Hall 'F 2 -2d'
loop_
_atom_site_label
_atom_site_type_symbol
_atom_site_fract_x
_atom_site_fract_y
_atom_site_fract_z
Ag1 Ag 0.0000 0.0000 0.0000
Ag2 Ag 0.0000 0.0000 0.4819
Ag3 Ag 0.0181 0.3267 0.4932
Sn1 Sn 0.0143 0.1656 0.4906
Se1 Se 0.0029 0.0831 0.6210
Se2 Se 0.0060 0.4132 0.6086
Se3 Se 0.0074 0.2558 0.1150
```

Principal peaks in the range 2θ from 10° to 90°, sorted by position:
Position (°2θ)	d_spacing	intensity	index
25.16	3.539	97	0 6 2
25.27	3.524	100	2 0 2
41.29	2.187	24	0 12 0
41.56	2.173	24	4 0 0
41.93	2.155	94	2 6 4
49.02	1.858	30	2 12 2
49.21	1.852	28	4 6 2
50.00	1.824	29	0 6 6
60.02	1.541	15	4 12 0
76.09	1.251	14	6 6 4

No. 10
Structure and theoretical X-ray powder pattern of Ag2SnSe3 (the GGA-PBE geometry in Alexandria; Cu Kα, 1.54184 Å).

Atomic structure:
```
data_Ag2SnSe3
_chemical_formula_sum 'Ag32 Sn16 Se48'
_cell_length_a 7.5189
_cell_length_b 12.9288
_cell_length_c 28.4356
_cell_angle_alpha 90.00
_cell_angle_beta 95.49
_cell_angle_gamma 90.00
_symmetry_space_group_name_H-M 'C 1 c 1'
_symmetry_Int_Tables_number 9
_symmetry_space_group_name_Hall 'C -2yc'
loop_
_atom_site_label
_atom_site_type_symbol
_atom_site_fract_x
_atom_site_fract_y
_atom_site_fract_z
Ag1 Ag 0.0000 0.0763 0.0000
Ag2 Ag 0.1277 0.4184 0.3729
Ag3 Ag 0.1405 0.2553 0.8734
Ag4 Ag 0.2534 0.0777 0.7468
Ag5 Ag 0.2713 0.4054 0.7503
Ag6 Ag 0.3857 0.0876 0.1248
Ag7 Ag 0.3870 0.2547 0.6213
Ag8 Ag 0.4920 0.2500 0.9968
Sn1 Sn 0.0217 0.4167 0.9931
Sn2 Sn 0.1398 0.0770 0.3683
Sn3 Sn 0.2512 0.2432 0.2430
Sn4 Sn 0.3890 0.4109 0.1186
Se1 Se 0.0395 0.4170 0.0883
Se2 Se 0.0427 0.0755 0.0930
Se3 Se 0.0433 0.2506 0.5901
Se4 Se 0.1507 0.2459 0.9663
Se5 Se 0.1604 0.4152 0.4665
Se6 Se 0.1716 0.0864 0.4634
Se7 Se 0.2873 0.0869 0.8402
Se8 Se 0.2915 0.2500 0.3384
Se9 Se 0.3037 0.4203 0.8429
Se10 Se 0.4043 0.4165 0.2135
Se11 Se 0.4190 0.2430 0.7146
Se12 Se 0.4252 0.0856 0.2182
```

Principal peaks in the range 2θ from 10° to 90°, sorted by position:
Position (°2θ)	d_spacing	intensity	index
25.20	3.534	100	0 0 8
41.68	2.167	49	3 3 -1
41.82	2.160	12	2 0 10
41.93	2.155	12	0 6 0
49.17	1.853	12	4 0 -4
49.50	1.841	30	3 3 7
60.71	1.526	8	2 6 10
66.49	1.406	9	1 3 -19
76.26	1.249	8	5 3 9
76.41	1.246	8	3 9 -1

No. 11
Structure and theoretical X-ray powder pattern of AgSn5Se6 (the GGA-PBE geometry in Alexandria; Cu Kα, 1.54184 Å).

Atomic structure:
```
data_AgSn5Se6
_chemical_formula_sum 'Ag2 Sn10 Se12'
_cell_length_a 7.2829
_cell_length_b 12.6345
_cell_length_c 7.2774
_cell_angle_alpha 90.00
_cell_angle_beta 109.18
_cell_angle_gamma 90.00
_symmetry_space_group_name_H-M 'C 1 2/m 1'
_symmetry_Int_Tables_number 12
_symmetry_space_group_name_Hall '-C 2y'
loop_
_atom_site_label
_atom_site_type_symbol
_atom_site_fract_x
_atom_site_fract_y
_atom_site_fract_z
Ag1 Ag 0.0000 0.0000 0.0000
Sn1 Sn 0.0000 0.1671 0.5000
Sn2 Sn 0.0000 0.3349 0.0000
Sn3 Sn 0.0000 0.5000 0.5000
Se1 Se 0.2457 0.0000 0.7582
Se2 Se 0.2475 0.1654 0.2472
```

Principal peaks in the range 2θ from 10° to 90°, sorted by position:
Position (°2θ)	d_spacing	intensity	index
29.98	2.980	100	1 3 1
30.12	2.967	49	2 0 -2
42.91	2.107	38	2 0 2
43.02	2.103	74	3 3 -1
53.32	1.718	40	4 0 0
70.74	1.332	26	4 6 0
70.98	1.328	17	5 3 -3
78.65	1.216	13	5 3 1
78.75	1.215	13	3 9 -1
78.92	1.213	13	6 0 -2

No. 12
Structure and theoretical X-ray powder pattern of Ag4SnSe4 (the GGA-PBE geometry in Alexandria; Cu Kα, 1.54184 Å).

Atomic structure:
```
data_Ag4SnSe4
_chemical_formula_sum 'Ag16 Sn4 Se16'
_cell_length_a 11.2941
_cell_length_b 9.5131
_cell_length_c 8.8983
_cell_angle_alpha 90.00
_cell_angle_beta 90.00
_cell_angle_gamma 90.00
_symmetry_space_group_name_H-M 'C m c m'
_symmetry_Int_Tables_number 63
_symmetry_space_group_name_Hall '-C 2c 2'
loop_
_atom_site_label
_atom_site_type_symbol
_atom_site_fract_x
_atom_site_fract_y
_atom_site_fract_z
Ag1 Ag 0.1400 0.2260 0.2500
Ag2 Ag 0.1779 0.0000 0.0000
Sn1 Sn 0.0000 0.3506 0.7500
Se1 Se 0.0000 0.1928 0.5108
Se2 Se 0.1955 0.4980 0.7500
```

Principal peaks in the range 2θ from 10° to 90°, sorted by position:
Position (°2θ)	d_spacing	intensity	index
21.18	4.195	15	0 2 1
23.44	3.796	50	1 1 2
24.47	3.638	49	2 2 0
27.39	3.256	56	3 1 1
37.81	2.379	16	0 4 0
40.55	2.225	34	0 0 4
42.44	2.130	100	3 3 2
46.06	1.970	26	5 1 2
47.93	1.898	15	2 2 4
75.07	1.265	17	3 3 6